Record 1
Theoretical X-ray powder pattern
Compound: KTbHg2Cl8
Radiation: a wavelength of 1.5418 Å
Structure: a structure optimized by DFT (GGA-PBE)
Neutral-atom scattering factors, no anomalous dispersion.

```
12
Lattice="6.6645 0.0000 0.0000 0.2621 6.7917 0.0000 2.2222 1.1444 8.5581" Properties=species:S:1:pos:R:3 pbc="T T T"
K 0.0000 0.0000 0.0000
Tb 1.1111 0.5722 4.2791
Hg 3.7748 3.5102 2.0165
Hg 5.3740 4.4260 6.5416
Cl 3.1224 6.3715 5.9566
Cl 2.7511 2.8125 4.0764
Cl 2.4756 6.1387 2.2126
Cl 4.0875 3.7644 8.4407
Cl 5.0613 4.1717 0.1174
Cl 6.6732 1.7974 6.3455
Cl 6.3977 5.1237 4.4818
Cl 6.0264 1.5646 2.6015
```

Peak list (10 most intense, 2θ from 5° to 70°, sorted by position)
| 2θ/deg | I (rel.) |
| --- | --- |
| 15.02 | 16 |
| 19.05 | 100 |
| 21.91 | 30 |
| 23.10 | 20 |
| 24.11 | 15 |
| 26.48 | 16 |
| 27.69 | 24 |
| 31.96 | 23 |
| 34.34 | 20 |
| 42.11 | 16 |

Record 2
Theoretical X-ray powder pattern
Compound: Na11TiNb2Si4P2O24F2
Radiation: a wavelength of 1.5418 Å
Structure: a structure optimized by DFT (GGA-PBE)
Neutral-atom scattering factors, no anomalous dispersion.

```
46
Lattice="5.6108 0.0000 0.0000 -0.1092 7.2463 0.0000 -1.3815 -0.6188 14.5668" Properties=species:S:1:pos:R:3 pbc="T T T"
Na 0.0000 0.0000 0.0000
Na 0.4308 3.2640 5.8111
Na 0.5995 -0.1657 5.3102
Na 0.5363 1.3346 8.3854
Na 0.4993 3.2135 11.1134
Na 1.2984 4.8073 14.5612
Na 2.8217 1.8201 0.0057
Na 3.6208 3.4139 3.4534
Na 3.5838 5.2929 6.1815
Na 3.5206 6.7932 9.2566
Na 3.6893 3.3634 8.7558
Ti -0.0546 3.6231 0.0000
Nb 0.4800 6.6940 11.4263
Nb 3.6401 -0.0666 3.1405
Si 0.6768 5.1078 2.8601
Si 0.8572 2.0364 2.6949
Si 3.2629 4.5911 11.8719
Si 3.4433 1.5196 11.7067
P 0.8821 5.1207 8.2527
P 3.2380 1.5067 6.3141
O -1.1128 5.4299 11.2442
O -0.7679 0.9800 11.0148
O 0.7524 2.1730 1.0755
O 0.6907 5.0980 1.2339
O 0.2381 5.3316 6.8514
O 0.7740 3.5351 3.4234
O 0.3907 3.7637 8.8456
O 0.4507 6.3375 9.1790
O 0.5291 -0.4763 13.2310
O 1.6904 1.4982 6.4305
O 1.9835 5.8621 3.5147
O 2.3031 1.4518 3.1418
O 1.8170 5.1756 11.4250
O 2.1366 0.7653 11.0521
O 2.4297 5.1292 8.1363
O 3.5910 7.1038 1.3358
O 3.6694 0.2899 5.3879
O 3.7294 2.8638 5.7213
O 3.3461 3.0924 11.1434
O 3.8820 1.2959 7.7154
O 3.4294 1.5294 13.3330
O 3.3677 4.4545 13.4913
O 4.8880 5.6474 3.5520
O 5.2329 1.1975 3.3227
F 0.2306 3.0612 13.4645
F 3.8895 3.5662 1.1023
```

Peak list (10 most intense, 2θ from 5° to 70°, sorted by position)
| 2θ/deg | I (rel.) |
| --- | --- |
| 6.07 | 46 |
| 12.17 | 71 |
| 16.90 | 60 |
| 17.59 | 49 |
| 20.56 | 100 |
| 30.69 | 90 |
| 31.87 | 87 |
| 32.06 | 87 |
| 33.18 | 81 |
| 50.42 | 49 |

Record 3
Theoretical X-ray powder pattern
Compound: PmEr4Ga15
Radiation: a wavelength of 1.5418 Å
Structure: a structure optimized by DFT (GGA-PBE)
Neutral-atom scattering factors, no anomalous dispersion.

```
20
Lattice="4.2768 0.0000 0.0000 0.0000 4.2768 0.0000 0.0000 0.0000 21.2979" Properties=species:S:1:pos:R:3 pbc="T T T"
Pm 0.0000 0.0000 0.0000
Er 0.0000 0.0000 4.3187
Er 0.0000 0.0000 8.5356
Er 0.0000 0.0000 12.7623
Er 0.0000 0.0000 16.9792
Ga 0.0000 2.1384 2.2077
Ga 0.0000 2.1384 6.4222
Ga 0.0000 2.1384 10.6489
Ga 0.0000 2.1384 14.8757
Ga 0.0000 2.1384 19.0902
Ga 2.1384 0.0000 2.2077
Ga 2.1384 0.0000 6.4222
Ga 2.1384 0.0000 10.6489
Ga 2.1384 0.0000 14.8757
Ga 2.1384 0.0000 19.0902
Ga 2.1384 2.1384 0.0000
Ga 2.1384 2.1384 4.2844
Ga 2.1384 2.1384 8.5415
Ga 2.1384 2.1384 12.7564
Ga 2.1384 2.1384 17.0135
```

Peak list (10 most intense, 2θ from 5° to 70°, sorted by position)
| 2θ/deg | I (rel.) |
| --- | --- |
| 20.80 | 16 |
| 29.58 | 14 |
| 36.44 | 100 |
| 42.26 | 33 |
| 42.44 | 16 |
| 47.56 | 5 |
| 47.70 | 3 |
| 52.44 | 4 |
| 61.31 | 11 |
| 61.44 | 21 |

Record 4
Theoretical X-ray powder pattern
Compound: HoEr12Sc2
Radiation: a wavelength of 1.5418 Å
Structure: a structure optimized by DFT (GGA-PBE)
Neutral-atom scattering factors, no anomalous dispersion.

```
15
Lattice="3.5649 0.0000 0.0000 0.0000 5.5313 0.0000 -1.7686 0.0000 22.9735" Properties=species:S:1:pos:R:3 pbc="T T T"
Ho 0.0000 0.0000 0.0000
Er 0.0066 2.7657 4.4606
Er 0.0085 2.7657 10.1525
Er 0.0040 0.0000 13.3287
Er 0.0044 2.7657 15.6145
Er 0.0063 0.0000 19.5202
Er 0.0144 2.7657 21.4285
Er 1.7819 2.7657 1.5449
Er 1.7901 0.0000 3.4533
Er 1.7920 2.7657 7.3590
Er 1.7923 0.0000 9.6447
Er 1.7878 2.7657 12.8209
Er 1.7898 2.7657 18.5128
Sc 0.0099 0.0000 6.5298
Sc 1.7864 0.0000 16.4437
```

Peak list (10 most intense, 2θ from 5° to 70°, sorted by position)
| 2θ/deg | I (rel.) |
| --- | --- |
| 30.59 | 23 |
| 31.14 | 16 |
| 31.70 | 26 |
| 32.37 | 49 |
| 32.86 | 100 |
| 34.71 | 29 |
| 35.21 | 27 |
| 45.14 | 17 |
| 58.05 | 20 |
| 61.93 | 15 |

Record 5
Theoretical X-ray powder pattern
Compound: Tb2Dy8Ga
Radiation: a wavelength of 1.5418 Å
Structure: a structure optimized by DFT (GGA-PBE)
Neutral-atom scattering factors, no anomalous dispersion.

```
11
Lattice="-2.6989 3.6851 8.5755 2.6989 -3.6851 8.5755 2.6989 3.6851 -8.5755" Properties=species:S:1:pos:R:3 pbc="T T T"
Tb 0.0000 0.0000 3.3003
Tb 0.0000 0.0000 13.8506
Dy 2.6989 1.7644 -2.2640
Dy 0.0000 1.8772 0.0000
Dy 2.6989 0.0000 5.4139
Dy 2.6989 1.7644 2.2640
Dy 0.0000 1.9207 6.3114
Dy 0.0000 3.6851 3.1616
Dy 0.0000 5.4931 0.0000
Dy 0.0000 1.9207 10.8395
Ga 0.0000 0.0000 8.5755
```

Peak list (10 most intense, 2θ from 5° to 70°, sorted by position)
| 2θ/deg | I (rel.) |
| --- | --- |
| 26.32 | 17 |
| 30.89 | 39 |
| 31.29 | 13 |
| 33.19 | 32 |
| 33.35 | 100 |
| 49.17 | 17 |
| 49.47 | 10 |
| 59.43 | 32 |
| 60.62 | 18 |
| 60.88 | 11 |

Record 6
Theoretical X-ray powder pattern
Compound: Tb3Zn3Ni8
Radiation: a wavelength of 1.5418 Å
Structure: a structure optimized by DFT (GGA-PBE)
Neutral-atom scattering factors, no anomalous dispersion.

```
14
Lattice="-2.0333 4.3174 6.1374 2.0333 -4.3174 6.1374 2.0333 4.3174 -6.1374" Properties=species:S:1:pos:R:3 pbc="T T T"
Tb 0.0000 0.0000 0.0000
Tb 0.0000 0.0000 3.6635
Tb 0.0000 0.0000 8.6113
Zn 2.0333 2.3733 0.0000
Zn 0.0000 4.3174 0.0000
Zn 0.0000 1.9441 6.1374
Ni 2.0333 -1.3301 2.2660
Ni 2.0333 -1.9353 4.6955
Ni 2.0333 1.3301 2.2660
Ni 0.0000 2.3821 1.4419
Ni 2.0333 1.9353 4.6955
Ni 0.0000 2.9873 3.8714
Ni 0.0000 6.2527 1.4419
Ni 0.0000 5.6475 3.8714
```

Peak list (10 most intense, 2θ from 5° to 70°, sorted by position)
| 2θ/deg | I (rel.) |
| --- | --- |
| 24.19 | 18 |
| 31.02 | 39 |
| 35.90 | 25 |
| 37.50 | 100 |
| 38.28 | 86 |
| 41.14 | 27 |
| 41.85 | 18 |
| 43.04 | 34 |
| 44.56 | 52 |
| 60.13 | 18 |

Repeat the fourth record exactly.
Theoretical X-ray powder pattern
Compound: HoEr12Sc2
Radiation: a wavelength of 1.5418 Å
Structure: a structure optimized by DFT (GGA-PBE)
Neutral-atom scattering factors, no anomalous dispersion.

```
15
Lattice="3.5649 0.0000 0.0000 0.0000 5.5313 0.0000 -1.7686 0.0000 22.9735" Properties=species:S:1:pos:R:3 pbc="T T T"
Ho 0.0000 0.0000 0.0000
Er 0.0066 2.7657 4.4606
Er 0.0085 2.7657 10.1525
Er 0.0040 0.0000 13.3287
Er 0.0044 2.7657 15.6145
Er 0.0063 0.0000 19.5202
Er 0.0144 2.7657 21.4285
Er 1.7819 2.7657 1.5449
Er 1.7901 0.0000 3.4533
Er 1.7920 2.7657 7.3590
Er 1.7923 0.0000 9.6447
Er 1.7878 2.7657 12.8209
Er 1.7898 2.7657 18.5128
Sc 0.0099 0.0000 6.5298
Sc 1.7864 0.0000 16.4437
```

Peak list (10 most intense, 2θ from 5° to 70°, sorted by position)
| 2θ/deg | I (rel.) |
| --- | --- |
| 30.59 | 23 |
| 31.14 | 16 |
| 31.70 | 26 |
| 32.37 | 49 |
| 32.86 | 100 |
| 34.71 | 29 |
| 35.21 | 27 |
| 45.14 | 17 |
| 58.05 | 20 |
| 61.93 | 15 |

Q: Number 5 is which compound?
A: Tb2Dy8Ga